No. 1
# AcInAs
Theoretical PXRD pattern, copper Kα. Input: DFT lattice parameters and positions (PBE).
Neutral-atom scattering factors, no anomalous dispersion.

Principal peaks in the range 5 to 70 degrees two-theta, low angle first:
- d = 4.057 Å, rel. 20
- d = 3.231 Å, rel. 34
- d = 3.192 Å, rel. 100
- d = 3.084 Å, rel. 37
- d = 2.257 Å, rel. 39
- d = 2.218 Å, rel. 59
- d = 1.850 Å, rel. 16
- d = 1.822 Å, rel. 25
- d = 1.596 Å, rel. 13
- d = 1.427 Å, rel. 18

Structure:
Cell lengths 4.5140, 4.5142, 9.2509 Å; angles 90.00, 90.13, 90.00 degrees
Atoms (fractional coordinates):
Ac: 0.2486 0.2500 0.3240
Ac: 0.7514 0.7500 0.6760
In: 0.2506 0.2500 0.9558
In: 0.7494 0.7500 0.0442
As: 0.2514 0.2500 0.6613
As: 0.7486 0.7500 0.3387

***

No. 2
# Ac2InAs3Ir4
Theoretical PXRD pattern, copper Kα. Input: DFT lattice parameters and positions (PBE).
Neutral-atom scattering factors, no anomalous dispersion.

Principal peaks in the range 5 to 70 degrees two-theta, low angle first:
- d = 3.035 Å, rel. 9
- d = 2.802 Å, rel. 37
- d = 2.662 Å, rel. 100
- d = 2.146 Å, rel. 50
- d = 2.047 Å, rel. 12
- d = 1.971 Å, rel. 28
- d = 1.704 Å, rel. 18
- d = 1.579 Å, rel. 10
- d = 1.517 Å, rel. 17
- d = 1.452 Å, rel. 21

Structure:
Cell lengths 4.2918, 4.2918, 11.0954 Å; angles 90.00, 90.00, 90.00 degrees
Atoms (fractional coordinates):
Ac: 0.0000 0.5000 0.2450
Ac: 0.5000 0.0000 0.7550
In: 0.0000 0.0000 0.5000
As: 0.0000 0.5000 0.8723
As: 0.5000 0.0000 0.1277
As: 0.5000 0.5000 0.5000
Ir: 0.0000 0.0000 0.0000
Ir: 0.0000 0.5000 0.6514
Ir: 0.5000 0.0000 0.3486
Ir: 0.5000 0.5000 0.0000

***

No. 3
# AcIn2As2Pd7
Theoretical PXRD pattern, copper Kα. Input: DFT lattice parameters and positions (PBE).
Neutral-atom scattering factors, no anomalous dispersion.

Principal peaks in the range 5 to 70 degrees two-theta, low angle first:
- d = 2.687 Å, rel. 28
- d = 2.549 Å, rel. 58
- d = 2.502 Å, rel. 100
- d = 2.444 Å, rel. 27
- d = 2.373 Å, rel. 85
- d = 2.202 Å, rel. 28
- d = 1.953 Å, rel. 36
- d = 1.918 Å, rel. 26
- d = 1.509 Å, rel. 27
- d = 1.461 Å, rel. 27

Structure:
Cell lengths 4.9179, 4.9179, 9.7769 Å; angles 90.00, 90.00, 105.17 degrees
Atoms (fractional coordinates):
Ac: 0.0000 0.0000 0.0000
In: 0.0000 0.0000 0.3587
In: 0.0000 0.0000 0.6413
As: 0.5000 0.5000 0.2726
As: 0.5000 0.5000 0.7274
Pd: 0.0000 0.5000 0.2175
Pd: 0.0000 0.5000 0.7825
Pd: 0.3126 0.6874 0.5000
Pd: 0.5000 0.0000 0.2175
Pd: 0.5000 0.0000 0.7825
Pd: 0.5000 0.5000 0.0000
Pd: 0.6874 0.3126 0.5000

***

No. 4
# AcInAs2Rh5
Theoretical PXRD pattern, copper Kα. Input: DFT lattice parameters and positions (PBE).
Neutral-atom scattering factors, no anomalous dispersion.

Principal peaks in the range 5 to 70 degrees two-theta, low angle first:
- d = 3.495 Å, rel. 62
- d = 3.275 Å, rel. 92
- d = 2.854 Å, rel. 90
- d = 2.581 Å, rel. 82
- d = 2.097 Å, rel. 97
- d = 1.964 Å, rel. 100
- d = 1.798 Å, rel. 37
- d = 1.766 Å, rel. 32
- d = 1.712 Å, rel. 24
- d = 1.483 Å, rel. 33

Structure:
Cell lengths 4.1942, 4.1942, 10.4855 Å; angles 90.00, 90.00, 90.00 degrees
Atoms (fractional coordinates):
Ac: 0.0000 0.0000 0.0000
In: 0.0000 0.0000 0.5000
As: 0.5000 0.5000 0.2277
As: 0.5000 0.5000 0.7723
Rh: 0.0000 0.5000 0.3362
Rh: 0.0000 0.5000 0.6638
Rh: 0.5000 0.0000 0.3362
Rh: 0.5000 0.0000 0.6638
Rh: 0.5000 0.5000 0.0000